Starting from a DFT-relaxed cell (GGA+U, Alexandria), the powder diffractogram of KVH4O7 was simulated for Cu Kα X-rays.
Lines closer than 0.1° are merged.

Principal peaks in the range 2θ from 10° to 80°, low angle first:
two_theta, I/Imax, hkl
11.08, 66.8, 0 0 1
12.83, 100.0, 0 1 0
16.30, 50.0, 1 1 0
19.86, 28.3, 1 0 -1
21.95, 29.5, 1 1 -1
24.13, 31.0, 1 1 2
25.54, 24.6, 0 2 1
27.22, 17.3, 1 -1 1
28.21, 27.1, 1 0 -2
29.84, 23.3, 2 1 1

Structure:
Lattice parameters (Å, degrees): 6.1230 7.7270 8.3471 73.51 80.48 66.91
Fractional positions:
K (0.0000, 0.0000, 0.0000)
K (0.1482, 0.3981, 0.2809)
V (0.4544, 0.8059, 0.2978)
V (0.6729, 0.5481, 0.9468)
H (0.0895, 0.6157, 0.8626)
H (0.4827, 0.7695, 0.6231)
H (0.5362, 0.3878, 0.7910)
H (0.6686, 0.8763, 0.5255)
H (0.7180, 0.4191, 0.6407)
H (0.7338, 0.1190, 0.5289)
H (0.8890, 0.7779, 0.7355)
H (0.9712, 0.9207, 0.5032)
O (0.2052, 0.7464, 0.4477)
O (0.2072, 0.7284, 0.2793)
O (0.3332, 0.5882, 0.9384)
O (0.3402, 0.0441, 0.2319)
O (0.3870, 0.7552, 0.8212)
O (0.5691, 0.3272, 0.4429)
O (0.5778, 0.7951, 0.5135)
O (0.5969, 0.7509, 0.0811)
O (0.6546, 0.4629, 0.4425)
O (0.7029, 0.3777, 0.7678)
O (0.7711, 0.7436, 0.1862)
O (0.8171, 0.3483, 0.0863)
O (0.8223, 0.9727, 0.5745)
O (0.9342, 0.6460, 0.8139)